1.
Calculated PXRD pattern of Cs2Sc2Bi2Te for CuKα, from a crystal structure in Alexandria, relaxed with GGA-PBE.

Cell and atoms:
```
data_Cs2Sc2Bi2Te
_symmetry_space_group_name_H-M 'P 1'
_symmetry_Int_Tables_number 1
_cell_length_a 10.6360
_cell_length_b 10.6360
_cell_length_c 10.6360
_cell_angle_alpha 150.54
_cell_angle_beta 150.54
_cell_angle_gamma 42.14
loop_
_symmetry_equiv_pos_as_xyz
'x,y,z'
loop_
_atom_site_label
_atom_site_fract_x
_atom_site_fract_y
_atom_site_fract_z
_atom_site_occupancy
Cs1 0.1832 0.1832 0.0000 1
Cs2 0.8168 0.8168 0.0000 1
Sc1 0.0000 0.5000 0.5000 1
Sc2 0.5000 0.0000 0.5000 1
Bi1 0.4031 0.4031 0.0000 1
Bi2 0.5969 0.5969 0.0000 1
Te1 0.0000 0.0000 0.0000 1
```

Most intense lines, 2θ from 10° to 90°, low angle first:
| 2θ/deg | d/Å | I (rel.) |
| --- | --- | --- |
| 23.26 | 3.824 | 67.1 |
| 27.88 | 3.200 | 100.0 |
| 33.13 | 2.704 | 43.6 |
| 43.83 | 2.065 | 59.3 |
| 47.55 | 1.912 | 15.8 |
| 66.66 | 1.403 | 17.4 |

2.
Calculated PXRD pattern of CsBiSe for CuKα, from a crystal structure in Alexandria, relaxed with GGA-PBE.

Cell and atoms:
```
data_CsBiSe
_symmetry_space_group_name_H-M 'P 1'
_symmetry_Int_Tables_number 1
_cell_length_a 9.9746
_cell_length_b 9.9746
_cell_length_c 5.8108
_cell_angle_alpha 101.35
_cell_angle_beta 101.35
_cell_angle_gamma 26.97
loop_
_symmetry_equiv_pos_as_xyz
'x,y,z'
loop_
_atom_site_label
_atom_site_fract_x
_atom_site_fract_y
_atom_site_fract_z
_atom_site_occupancy
Cs1 0.0771 0.0771 0.3098 1
Cs2 0.9229 0.9229 0.6902 1
Bi1 0.2623 0.2871 0.1773 1
Bi2 0.7129 0.7377 0.8227 1
Se1 0.4108 0.4122 0.1758 1
Se2 0.5878 0.5892 0.8242 1
```

Most intense lines, 2θ from 10° to 90°, low angle first:
| 2θ/deg | d/Å | I (rel.) |
| --- | --- | --- |
| 21.81 | 4.074 | 30.3 |
| 24.56 | 3.624 | 30.4 |
| 25.76 | 3.458 | 100.0 |
| 28.18 | 3.166 | 32.6 |
| 31.98 | 2.799 | 25.7 |
| 38.71 | 2.326 | 22.4 |

3.
Calculated PXRD pattern of Cs2Bi8Se13 for CuKα, from a crystal structure in Alexandria, relaxed with GGA-PBE.

Cell and atoms:
```
data_Cs2Bi8Se13
_symmetry_space_group_name_H-M 'P 1'
_symmetry_Int_Tables_number 1
_cell_length_a 14.2376
_cell_length_b 4.2234
_cell_length_c 25.4209
_cell_angle_alpha 90.00
_cell_angle_beta 97.28
_cell_angle_gamma 90.00
loop_
_symmetry_equiv_pos_as_xyz
'x,y,z'
loop_
_atom_site_label
_atom_site_fract_x
_atom_site_fract_y
_atom_site_fract_z
_atom_site_occupancy
Cs1 0.0712 0.2500 0.1179 1
Cs2 0.2225 0.7500 0.3598 1
Cs3 0.7775 0.2500 0.6402 1
Cs4 0.9288 0.7500 0.8821 1
Bi1 0.0715 0.2500 0.5632 1
Bi2 0.0723 0.7500 0.7321 1
Bi3 0.2317 0.7500 0.9673 1
Bi4 0.3139 0.2500 0.8301 1
Bi5 0.3781 0.7500 0.2110 1
Bi6 0.3839 0.7500 0.6914 1
Bi7 0.4518 0.2500 0.5596 1
Bi8 0.4556 0.2500 0.0699 1
Bi9 0.5444 0.7500 0.9301 1
Bi10 0.5482 0.7500 0.4404 1
Bi11 0.6161 0.2500 0.3086 1
Bi12 0.6219 0.2500 0.7890 1
Bi13 0.6861 0.7500 0.1699 1
Bi14 0.7683 0.2500 0.0327 1
Bi15 0.9277 0.2500 0.2679 1
Bi16 0.9285 0.7500 0.4368 1
Se1 0.0091 0.2500 0.3722 1
Se2 0.0409 0.7500 0.2390 1
Se3 0.1054 0.2500 0.9776 1
Se4 0.1091 0.7500 0.4874 1
Se5 0.1859 0.7500 0.8534 1
Se6 0.2450 0.2500 0.7200 1
Se7 0.2587 0.2500 0.2321 1
Se8 0.3142 0.7500 0.5845 1
Se9 0.3212 0.7500 0.0867 1
Se10 0.3978 0.2500 0.9514 1
Se11 0.4029 0.2500 0.4497 1
Se12 0.4650 0.7500 0.8177 1
Se13 0.4759 0.7500 0.3180 1
Se14 0.5241 0.2500 0.6820 1
Se15 0.5350 0.2500 0.1823 1
Se16 0.5971 0.7500 0.5503 1
Se17 0.6022 0.7500 0.0486 1
Se18 0.6788 0.2500 0.9133 1
Se19 0.6858 0.2500 0.4155 1
Se20 0.7413 0.7500 0.7679 1
Se21 0.7550 0.7500 0.2800 1
Se22 0.8141 0.2500 0.1466 1
Se23 0.8909 0.2500 0.5126 1
Se24 0.8946 0.7500 0.0224 1
Se25 0.9591 0.2500 0.7610 1
Se26 0.9909 0.7500 0.6278 1
```

Most intense lines, 2θ from 10° to 90°, low angle first:
| 2θ/deg | d/Å | I (rel.) |
| --- | --- | --- |
| 20.96 | 4.238 | 26.2 |
| 28.68 | 3.113 | 100.0 |
| 29.82 | 2.996 | 49.3 |
| 41.38 | 2.182 | 24.4 |
| 42.31 | 2.136 | 29.6 |
| 42.82 | 2.112 | 26.3 |

4.
Calculated PXRD pattern of Cs2Bi4Se7 for CuKα, from a crystal structure in Alexandria, relaxed with GGA-PBE.

Cell and atoms:
```
data_Cs2Bi4Se7
_symmetry_space_group_name_H-M 'P 1'
_symmetry_Int_Tables_number 1
_cell_length_a 13.5093
_cell_length_b 4.2806
_cell_length_c 15.6302
_cell_angle_alpha 90.00
_cell_angle_beta 94.32
_cell_angle_gamma 90.00
loop_
_symmetry_equiv_pos_as_xyz
'x,y,z'
loop_
_atom_site_label
_atom_site_fract_x
_atom_site_fract_y
_atom_site_fract_z
_atom_site_occupancy
Cs1 0.0674 0.2500 0.1882 1
Cs2 0.3318 0.7500 0.3792 1
Cs3 0.6682 0.2500 0.6208 1
Cs4 0.9326 0.7500 0.8118 1
Bi1 0.1056 0.7500 0.5720 1
Bi2 0.2315 0.7500 0.9504 1
Bi3 0.3307 0.2500 0.7249 1
Bi4 0.4469 0.2500 0.1209 1
Bi5 0.5531 0.7500 0.8791 1
Bi6 0.6693 0.7500 0.2751 1
Bi7 0.7685 0.2500 0.0496 1
Bi8 0.8944 0.2500 0.4280 1
Se1 0.0436 0.7500 0.3932 1
Se2 0.0973 0.2500 0.9639 1
Se3 0.1915 0.7500 0.7609 1
Se4 0.2542 0.2500 0.5481 1
Se5 0.2990 0.7500 0.1381 1
Se6 0.4027 0.2500 0.9180 1
Se7 0.4847 0.7500 0.7033 1
Se8 0.5153 0.2500 0.2967 1
Se9 0.5973 0.7500 0.0820 1
Se10 0.7010 0.2500 0.8619 1
Se11 0.7458 0.7500 0.4519 1
Se12 0.8085 0.2500 0.2391 1
Se13 0.9027 0.7500 0.0361 1
Se14 0.9564 0.2500 0.6068 1
```

Most intense lines, 2θ from 10° to 90°, low angle first:
| 2θ/deg | d/Å | I (rel.) |
| --- | --- | --- |
| 20.79 | 4.272 | 25.5 |
| 29.09 | 3.070 | 100.0 |
| 29.90 | 2.988 | 49.2 |
| 42.01 | 2.151 | 26.8 |
| 42.22 | 2.140 | 27.7 |
| 42.39 | 2.132 | 43.5 |

5.
Calculated PXRD pattern of CsBi3Se5 for CuKα, from a crystal structure in Alexandria, relaxed with GGA-PBE.

Cell and atoms:
```
data_CsBi3Se5
_symmetry_space_group_name_H-M 'P 1'
_symmetry_Int_Tables_number 1
_cell_length_a 23.2332
_cell_length_b 4.2191
_cell_length_c 12.5745
_cell_angle_alpha 90.00
_cell_angle_beta 90.00
_cell_angle_gamma 90.00
loop_
_symmetry_equiv_pos_as_xyz
'x,y,z'
loop_
_atom_site_label
_atom_site_fract_x
_atom_site_fract_y
_atom_site_fract_z
_atom_site_occupancy
Cs1 0.2135 0.2500 0.0096 1
Cs2 0.2865 0.7500 0.5096 1
Cs3 0.7135 0.2500 0.4904 1
Cs4 0.7865 0.7500 0.9904 1
Bi1 0.0235 0.2500 0.1363 1
Bi2 0.0727 0.7500 0.4073 1
Bi3 0.1207 0.2500 0.6957 1
Bi4 0.3793 0.7500 0.1957 1
Bi5 0.4273 0.2500 0.9073 1
Bi6 0.4765 0.7500 0.6363 1
Bi7 0.5235 0.2500 0.3637 1
Bi8 0.5727 0.7500 0.0927 1
Bi9 0.6207 0.2500 0.8043 1
Bi10 0.8793 0.7500 0.3043 1
Bi11 0.9273 0.2500 0.5927 1
Bi12 0.9765 0.7500 0.8637 1
Se1 0.0192 0.7500 0.6391 1
Se2 0.0617 0.2500 0.9155 1
Se3 0.1088 0.7500 0.1940 1
Se4 0.1520 0.2500 0.4735 1
Se5 0.1953 0.7500 0.7504 1
Se6 0.3047 0.2500 0.2504 1
Se7 0.3480 0.7500 0.9735 1
Se8 0.3912 0.2500 0.6940 1
Se9 0.4383 0.7500 0.4155 1
Se10 0.4808 0.2500 0.1391 1
Se11 0.5192 0.7500 0.8609 1
Se12 0.5617 0.2500 0.5845 1
Se13 0.6088 0.7500 0.3060 1
Se14 0.6520 0.2500 0.0265 1
Se15 0.6953 0.7500 0.7496 1
Se16 0.8047 0.2500 0.2496 1
Se17 0.8480 0.7500 0.5265 1
Se18 0.8912 0.2500 0.8060 1
Se19 0.9383 0.7500 0.0845 1
Se20 0.9808 0.2500 0.3609 1
```

Most intense lines, 2θ from 10° to 90°, low angle first:
| 2θ/deg | d/Å | I (rel.) |
| --- | --- | --- |
| 27.07 | 3.294 | 71.4 |
| 29.45 | 3.033 | 100.0 |
| 30.69 | 2.913 | 28.1 |
| 32.18 | 2.782 | 31.6 |
| 42.87 | 2.110 | 31.5 |
| 43.52 | 2.080 | 59.5 |

6.
Calculated PXRD pattern of Cs2ThBi2Se6 for CuKα, from a crystal structure in Alexandria, relaxed with GGA-PBE.

Cell and atoms:
```
data_Cs2ThBi2Se6
_symmetry_space_group_name_H-M 'P 1'
_symmetry_Int_Tables_number 1
_cell_length_a 7.4871
_cell_length_b 7.4871
_cell_length_c 9.3279
_cell_angle_alpha 108.52
_cell_angle_beta 108.52
_cell_angle_gamma 64.83
loop_
_symmetry_equiv_pos_as_xyz
'x,y,z'
loop_
_atom_site_label
_atom_site_fract_x
_atom_site_fract_y
_atom_site_fract_z
_atom_site_occupancy
Cs1 0.1931 0.1931 0.1388 1
Cs2 0.8068 0.8068 0.8612 1
Th1 0.0000 0.0000 0.5000 1
Bi1 0.4224 0.4224 0.7873 1
Bi2 0.5776 0.5776 0.2127 1
Se1 0.1897 0.7149 0.2393 1
Se2 0.2344 0.2344 0.5341 1
Se3 0.2851 0.8103 0.7607 1
Se4 0.7149 0.1897 0.2393 1
Se5 0.7656 0.7656 0.4659 1
Se6 0.8103 0.2851 0.7607 1
```

Most intense lines, 2θ from 10° to 90°, low angle first:
| 2θ/deg | d/Å | I (rel.) |
| --- | --- | --- |
| 15.03 | 5.896 | 38.8 |
| 22.04 | 4.032 | 100.0 |
| 22.15 | 4.013 | 48.7 |
| 23.91 | 3.721 | 99.1 |
| 30.91 | 2.893 | 49.6 |
| 31.05 | 2.881 | 32.8 |

7.
Calculated PXRD pattern of Cs3TmBi2Se6 for CuKα, from a crystal structure in Alexandria, relaxed with GGA-PBE.

Cell and atoms:
```
data_Cs3TmBi2Se6
_symmetry_space_group_name_H-M 'P 1'
_symmetry_Int_Tables_number 1
_cell_length_a 7.5201
_cell_length_b 7.5201
_cell_length_c 8.7214
_cell_angle_alpha 98.26
_cell_angle_beta 98.26
_cell_angle_gamma 119.99
loop_
_symmetry_equiv_pos_as_xyz
'x,y,z'
loop_
_atom_site_label
_atom_site_fract_x
_atom_site_fract_y
_atom_site_fract_z
_atom_site_occupancy
Cs1 0.0000 0.0000 0.0000 1
Cs2 0.3299 0.6701 0.0000 1
Cs3 0.6701 0.3299 0.0000 1
Tm1 0.5000 0.5000 0.5000 1
Bi1 0.1663 0.8337 0.5000 1
Bi2 0.8337 0.1663 0.5000 1
Se1 0.1150 0.4375 0.3121 1
Se2 0.2406 0.2406 0.6892 1
Se3 0.4375 0.1150 0.3121 1
Se4 0.5625 0.8850 0.6879 1
Se5 0.7594 0.7594 0.3108 1
Se6 0.8850 0.5625 0.6879 1
```

Most intense lines, 2θ from 10° to 90°, low angle first:
| 2θ/deg | d/Å | I (rel.) |
| --- | --- | --- |
| 10.59 | 8.354 | 20.4 |
| 24.72 | 3.602 | 17.4 |
| 27.67 | 3.224 | 100.0 |
| 37.36 | 2.407 | 34.6 |
| 41.60 | 2.171 | 36.1 |
| 50.69 | 1.801 | 18.6 |

8.
Calculated PXRD pattern of Cs3ZrBi2Se6 for CuKα, from a crystal structure in Alexandria, relaxed with GGA-PBE.

Cell and atoms:
```
data_Cs3ZrBi2Se6
_symmetry_space_group_name_H-M 'P 1'
_symmetry_Int_Tables_number 1
_cell_length_a 7.5652
_cell_length_b 7.5652
_cell_length_c 8.5655
_cell_angle_alpha 98.44
_cell_angle_beta 98.44
_cell_angle_gamma 120.14
loop_
_symmetry_equiv_pos_as_xyz
'x,y,z'
loop_
_atom_site_label
_atom_site_fract_x
_atom_site_fract_y
_atom_site_fract_z
_atom_site_occupancy
Cs1 0.0000 0.0000 0.0000 1
Cs2 0.3276 0.6724 0.0000 1
Cs3 0.6724 0.3276 0.0000 1
Zr1 0.5000 0.5000 0.5000 1
Bi1 0.1660 0.8340 0.5000 1
Bi2 0.8340 0.1660 0.5000 1
Se1 0.1289 0.4394 0.3176 1
Se2 0.2526 0.2526 0.6852 1
Se3 0.4394 0.1289 0.3176 1
Se4 0.5606 0.8711 0.6824 1
Se5 0.7474 0.7474 0.3148 1
Se6 0.8711 0.5606 0.6824 1
```

Most intense lines, 2θ from 10° to 90°, low angle first:
| 2θ/deg | d/Å | I (rel.) |
| --- | --- | --- |
| 10.81 | 8.186 | 16.0 |
| 24.64 | 3.613 | 15.4 |
| 27.71 | 3.219 | 100.0 |
| 37.75 | 2.383 | 31.8 |
| 41.37 | 2.182 | 36.5 |
| 50.49 | 1.808 | 12.0 |